Simulated XRD peak list of LiTb4Ga3 for Cu Kα (λ = 1.5418 Å), from a PBE-relaxed structure.
Intensities are scaled so that the largest is 100.

Atomic structure:
Cell: 5.0919 5.0919 25.0754 Å, 90.00 90.00 120.00°
Space group R-3m (No. 166, hexagonal axes)
Symmetry-distinct sites (fractional):
Li (0.0000, 0.0000, 0.0000)
Tb (0.0000, 0.0000, 0.1272)
Tb (0.0000, 0.0000, 0.3787)
Ga (0.0000, 0.0000, 0.2577)
Ga (0.0000, 0.0000, 0.5000)

Principal peaks in the range 10 to 90 degrees two-theta, in order of rising 2θ:
d_spacing	two_theta	I (rel.)
3.607	24.68	56
2.555	35.13	97
2.546	35.25	100
2.080	43.51	13
1.803	50.62	34
1.615	57.02	12
1.611	57.19	11
1.477	62.94	15
1.471	63.21	53
1.273	74.55	11
1.142	84.94	14
1.139	85.16	15